This entry pairs a crystal structure of La4MgNi2 with its computed PXRD pattern. Radiation: Cu Ka. Structure: a PBE-relaxed structure.
Kinematic intensities with the Lorentz-polarization factor, no thermal factor.

Largest 12 diffraction maxima, low angle first, 2θ = 10–90°:
- 2θ = 14.09°, intensity 31, (0 1 -1)
- 2θ = 26.85°, intensity 44, (-2 1 1)
- 2θ = 27.42°, intensity 65, (1 -1 2)
- 2θ = 28.40°, intensity 85, (0 2 0)
- 2θ = 30.72°, intensity 97, (0 1 2)
- 2θ = 31.18°, intensity 100, (1 -2 2)
- 2θ = 32.49°, intensity 93, (2 1 -2)
- 2θ = 34.27°, intensity 47, (-2 2 1)
- 2θ = 34.47°, intensity 84, (2 0 1)
- 2θ = 40.24°, intensity 32, (1 -3 2)
- 2θ = 41.46°, intensity 32, (0 1 3)
- 2θ = 42.53°, intensity 32, (3 -2 0)

abc: 7.0260 7.0355 9.1329
angles: 107.09 106.90 103.82
Sites, in units of the cell vectors:
La (0.0000, 0.0000, 0.0000)
La (0.0247, 0.7096, 0.5844)
La (0.2936, 0.1497, 0.4628)
La (0.3658, 0.5532, 0.2699)
La (0.4483, 0.5768, 0.8527)
La (0.5199, 0.1502, 0.9987)
La (0.7565, 0.1149, 0.3897)
La (0.9282, 0.4279, 0.8549)
Mg (0.6121, 0.8949, 0.6556)
Mg (0.8784, 0.6649, 0.1979)
Ni (0.1167, 0.1600, 0.7303)
Ni (0.3132, 0.8550, 0.1195)
Ni (0.6502, 0.5120, 0.6009)
Ni (0.9750, 0.3385, 0.2520)